BaSb2Pd2: calculated powder XRD pattern (copper Kα), based on a cell relaxed with GGA-PBE.

Most intense lines, 2θ = 10–90°, sorted by position:
hkl 1 0 3, 30.9°, d 2.894, intensity 71
hkl 1 1 2, 31.0°, d 2.882, intensity 100
hkl 2 0 0, 37.4°, d 2.403, intensity 82
hkl 1 1 4, 42.6°, d 2.123, intensity 35
hkl 1 0 5, 45.8°, d 1.982, intensity 21
hkl 2 1 3, 49.3°, d 1.849, intensity 38
hkl 2 2 0, 54.0°, d 1.699, intensity 28
hkl 3 1 2, 63.5°, d 1.464, intensity 34

Lattice parameters (Å, degrees): 4.8064 4.8064 10.8757 90.00 90.00 90.00
Space group P4/nmm (No. 129, origin choice 2)
Symmetry-distinct sites (fractional):
Ba (0.2500, 0.2500, 0.2441) x2
Sb (0.2500, 0.2500, 0.8758) x2
Sb (0.2500, 0.7500, 0.5000) x2
Pd (0.2500, 0.2500, 0.6227) x2
Pd (0.2500, 0.7500, 0.0000) x2